Starting from a cell relaxed with PBE, the powder XRD pattern of V2ReRu was simulated for λ = 1.5418 Å (Cu Kα).

The 10 most intense peaks (10° ≤ 2θ ≤ 90°), most intense first:
| (hkl) | 2θ (°) | Rel. int. |
| --- | --- | --- |
| 2 2 0 | 42.23 | 100.0 |
| 4 2 2 | 77.22 | 32.4 |
| 2 0 0 | 29.52 | 30.3 |
| 4 0 0 | 61.26 | 16.2 |
| 4 2 0 | 69.45 | 11.8 |
| 1 1 1 | 25.49 | 10.5 |
| 2 2 2 | 52.37 | 8.8 |
| 3 1 1 | 49.98 | 5.6 |
| 3 3 1 | 67.45 | 2.4 |
| 5 1 1 | 82.89 | 1.9 |

Structure:
```
V2ReRu
1.0
6.052 0.000 0.000
0.000 6.052 0.000
0.000 0.000 6.052
V Re Ru
8 4 4
direct
0.250 0.250 0.250 V
0.250 0.250 0.750 V
0.250 0.750 0.250 V
0.250 0.750 0.750 V
0.750 0.250 0.250 V
0.750 0.250 0.750 V
0.750 0.750 0.250 V
0.750 0.750 0.750 V
0.000 0.000 0.000 Re
0.000 0.500 0.500 Re
0.500 0.000 0.500 Re
0.500 0.500 0.000 Re
0.000 0.000 0.500 Ru
0.000 0.500 0.000 Ru
0.500 0.000 0.000 Ru
0.500 0.500 0.500 Ru
```